Calculated PXRD pattern of TbDy4Sc5 for Cu Kα (weighted mean of Kα1 and Kα2), from a GGA-PBE-relaxed structure.

Crystal structure
Cell lengths 7.705, 7.705, 7.705 Å; angles 97.63, 97.63, 137.27 degrees
Sites, in units of the cell vectors:
Tb (0.000, 0.000, 0.000)
Dy (0.070, 0.748, 0.321)
Dy (0.427, 0.748, 0.679)
Dy (0.748, 0.070, 0.321)
Dy (0.748, 0.427, 0.679)
Sc (0.084, 0.084, 0.620)
Sc (0.084, 0.463, 0.000)
Sc (0.463, 0.084, 0.000)
Sc (0.463, 0.463, 0.380)
Sc (0.521, 0.521, 0.000)

Top 6 peaks for 2θ = 10–90°, most intense first:
| d_spacing | Rel. int. |
| --- | --- |
| 2.897 | 100 |
| 3.529 | 48 |
| 2.392 | 42 |
| 2.614 | 24 |
| 3.209 | 20 |
| 1.461 | 19 |